Structure and simulated powder diffraction line list of Li2VP2O7 (a GGA+U-relaxed structure; Cu Kα X-rays).
Kinematic intensities with the Lorentz-polarization factor, no thermal factor.

Top 10 peaks for 2θ = 10–90°, in order of rising 2θ:
| 2θ/deg | d/Å | intensity |
| --- | --- | --- |
| 16.77 | 5.286 | 100 |
| 21.50 | 4.133 | 46 |
| 24.73 | 3.601 | 18 |
| 26.06 | 3.419 | 21 |
| 27.97 | 3.190 | 14 |
| 28.18 | 3.167 | 87 |
| 28.81 | 3.099 | 33 |
| 37.32 | 2.409 | 14 |
| 38.82 | 2.320 | 18 |
| 41.83 | 2.160 | 13 |

```
Li2VP2O7
1.0
5.102 0.000 0.000
0.000 8.517 0.000
-2.365 0.000 6.743
Li V P O
4 2 4 14
direct
0.176 0.000 0.151
0.274 0.315 0.596
0.726 0.815 0.404
0.824 0.500 0.849
0.208 0.648 0.222
0.792 0.148 0.778
0.209 0.942 0.586
0.389 0.333 0.021
0.611 0.833 0.979
0.791 0.442 0.414
0.068 0.466 0.378
0.149 0.850 0.391
0.208 0.187 0.996
0.224 0.485 0.003
0.371 0.093 0.586
0.398 0.822 0.753
0.440 0.835 0.122
0.560 0.335 0.878
0.602 0.322 0.247
0.629 0.593 0.414
0.776 0.985 0.997
0.792 0.687 0.004
0.851 0.350 0.609
0.932 0.966 0.622
```

***

Structure and simulated powder diffraction line list of Li3NiPCO7 (a GGA+U-relaxed structure; Cu Kα X-rays).
Kinematic intensities with the Lorentz-polarization factor, no thermal factor.

Top 10 peaks for 2θ = 10–90°, in order of rising 2θ:
| 2θ/deg | d/Å | intensity |
| --- | --- | --- |
| 10.46 | 8.457 | 34 |
| 17.29 | 5.129 | 100 |
| 23.58 | 3.773 | 41 |
| 24.73 | 3.601 | 23 |
| 25.33 | 3.516 | 23 |
| 26.08 | 3.417 | 34 |
| 33.82 | 2.651 | 24 |
| 35.42 | 2.534 | 92 |
| 37.04 | 2.427 | 23 |
| 53.64 | 1.709 | 22 |

```
Li3NiPCO7
1.0
9.412 0.000 0.000
0.000 6.329 0.000
-4.276 0.000 8.756
Li Ni P C O
12 4 4 4 28
direct
0.100 0.250 0.183
0.100 0.250 0.683
0.278 0.009 0.009
0.278 0.491 0.509
0.348 0.748 0.314
0.348 0.752 0.814
0.652 0.248 0.186
0.652 0.252 0.686
0.722 0.509 0.491
0.722 0.991 0.991
0.900 0.750 0.317
0.900 0.750 0.817
0.274 0.009 0.512
0.274 0.491 0.012
0.726 0.509 0.988
0.726 0.991 0.488
0.409 0.248 0.815
0.409 0.252 0.315
0.591 0.748 0.685
0.591 0.752 0.185
0.039 0.740 0.122
0.039 0.760 0.622
0.961 0.240 0.378
0.961 0.260 0.878
0.069 0.749 0.762
0.069 0.751 0.262
0.110 0.235 0.485
0.110 0.265 0.985
0.149 0.740 0.076
0.149 0.760 0.576
0.309 0.059 0.320
0.309 0.441 0.820
0.316 0.054 0.824
0.316 0.446 0.324
0.419 0.244 0.659
0.419 0.256 0.159
0.420 0.741 0.055
0.420 0.759 0.555
0.580 0.241 0.445
0.580 0.259 0.945
0.581 0.744 0.841
0.581 0.756 0.341
0.684 0.554 0.676
0.684 0.946 0.176
0.691 0.559 0.180
0.691 0.941 0.680
0.851 0.240 0.424
0.851 0.260 0.924
0.890 0.735 0.015
0.890 0.765 0.515
0.931 0.249 0.738
0.931 0.251 0.238
```

***

Structure and simulated powder diffraction line list of Mg2CrSbO6 (a GGA+U-relaxed structure; Cu Kα X-rays).
Kinematic intensities with the Lorentz-polarization factor, no thermal factor.

Top 10 peaks for 2θ = 10–90°, in order of rising 2θ:
| 2θ/deg | d/Å | intensity |
| --- | --- | --- |
| 16.51 | 5.368 | 31 |
| 17.13 | 5.178 | 29 |
| 23.28 | 3.820 | 59 |
| 23.77 | 3.743 | 57 |
| 23.98 | 3.711 | 59 |
| 33.38 | 2.684 | 47 |
| 33.52 | 2.673 | 100 |
| 33.67 | 2.662 | 95 |
| 34.65 | 2.589 | 39 |
| 47.61 | 1.910 | 28 |

```
Mg2CrSbO6
1.0
5.178 0.000 0.000
0.000 7.640 0.000
-0.046 0.000 5.368
Mg Cr Sb O
4 2 2 12
direct
0.005 0.250 0.038
0.481 0.750 0.429
0.519 0.250 0.571
0.995 0.750 0.962
0.500 0.000 0.000
0.500 0.500 0.000
0.000 0.000 0.500
0.000 0.500 0.500
0.138 0.250 0.428
0.176 0.570 0.189
0.176 0.930 0.189
0.318 0.570 0.680
0.318 0.930 0.680
0.376 0.250 0.929
0.624 0.750 0.071
0.682 0.070 0.320
0.682 0.430 0.320
0.824 0.070 0.811
0.824 0.430 0.811
0.862 0.750 0.572
```

***

Structure and simulated powder diffraction line list of Li4CoO3 (a GGA+U-relaxed structure; Cu Kα X-rays).
Kinematic intensities with the Lorentz-polarization factor, no thermal factor.

Top 10 peaks for 2θ = 10–90°, in order of rising 2θ:
| 2θ/deg | d/Å | intensity |
| --- | --- | --- |
| 19.14 | 4.638 | 59 |
| 19.88 | 4.467 | 58 |
| 22.07 | 4.028 | 81 |
| 26.24 | 3.396 | 57 |
| 27.13 | 3.287 | 100 |
| 27.67 | 3.224 | 54 |
| 31.14 | 2.872 | 58 |
| 32.22 | 2.778 | 32 |
| 40.28 | 2.239 | 43 |
| 40.83 | 2.210 | 33 |

```
Li4CoO3
1.0
5.003 -2.548 0.000
5.003 2.548 0.000
-2.608 0.000 6.449
Li Co O
8 2 6
direct
0.021 0.600 0.094
0.085 0.401 0.404
0.148 0.852 0.500
0.237 0.544 0.795
0.401 0.085 0.904
0.544 0.237 0.295
0.600 0.021 0.594
0.852 0.148 0.000
0.485 0.771 0.181
0.771 0.485 0.681
0.164 0.200 0.630
0.200 0.164 0.130
0.443 0.459 0.579
0.459 0.443 0.079
0.812 0.816 0.342
0.816 0.812 0.842
```

***

Structure and simulated powder diffraction line list of MgCr2O4 (a GGA+U-relaxed structure; Cu Kα X-rays).
Kinematic intensities with the Lorentz-polarization factor, no thermal factor.

Top 10 peaks for 2θ = 10–90°, in order of rising 2θ:
| 2θ/deg | d/Å | intensity |
| --- | --- | --- |
| 17.90 | 4.955 | 30 |
| 29.23 | 3.055 | 29 |
| 29.80 | 2.998 | 38 |
| 34.59 | 2.593 | 32 |
| 34.75 | 2.581 | 29 |
| 35.10 | 2.557 | 100 |
| 35.50 | 2.529 | 62 |
| 42.30 | 2.137 | 42 |
| 61.88 | 1.499 | 41 |
| 62.29 | 1.490 | 40 |

```
MgCr2O4
1.0
5.202 -2.990 0.000
5.202 2.990 0.000
-4.118 0.000 19.659
Mg Cr O
8 16 32
direct
0.000 0.000 0.000
0.127 0.127 0.875
0.252 0.252 0.750
0.280 0.280 0.345
0.377 0.377 0.624
0.502 0.502 0.500
0.529 0.529 0.093
0.749 0.749 0.250
0.000 0.503 0.000
0.005 0.503 0.499
0.032 0.032 0.594
0.226 0.226 0.155
0.252 0.752 0.750
0.256 0.750 0.249
0.473 0.473 0.907
0.503 0.000 0.000
0.503 0.005 0.499
0.627 0.627 0.372
0.723 0.723 0.656
0.750 0.256 0.249
0.752 0.252 0.750
0.780 0.780 0.842
0.877 0.877 0.123
0.976 0.976 0.404
0.053 0.053 0.191
0.057 0.057 0.693
0.057 0.588 0.187
0.083 0.557 0.689
0.155 0.702 0.061
0.195 0.195 0.554
0.195 0.674 0.560
0.196 0.196 0.057
0.306 0.832 0.940
0.310 0.310 0.945
0.314 0.314 0.446
0.339 0.809 0.436
0.419 0.947 0.810
0.447 0.447 0.806
0.449 0.909 0.311
0.451 0.451 0.308
0.557 0.083 0.689
0.559 0.559 0.694
0.561 0.561 0.194
0.588 0.057 0.187
0.674 0.195 0.560
0.696 0.696 0.555
0.701 0.701 0.059
0.702 0.155 0.061
0.802 0.802 0.440
0.804 0.804 0.942
0.809 0.339 0.436
0.832 0.306 0.940
0.909 0.449 0.311
0.943 0.943 0.306
0.946 0.946 0.806
0.947 0.419 0.810
```

***

Structure and simulated powder diffraction line list of LiCr2O3 (a GGA+U-relaxed structure; Cu Kα X-rays).
Kinematic intensities with the Lorentz-polarization factor, no thermal factor.

Top 10 peaks for 2θ = 10–90°, in order of rising 2θ:
| 2θ/deg | d/Å | intensity |
| --- | --- | --- |
| 20.33 | 4.369 | 47 |
| 21.03 | 4.225 | 52 |
| 25.92 | 3.437 | 33 |
| 27.43 | 3.251 | 31 |
| 41.11 | 2.196 | 100 |
| 41.43 | 2.180 | 100 |
| 44.02 | 2.057 | 83 |
| 58.89 | 1.568 | 28 |
| 61.55 | 1.507 | 26 |
| 62.04 | 1.496 | 72 |

```
LiCr2O3
1.0
5.161 0.000 0.000
-2.579 4.579 0.000
-1.207 -1.572 5.000
Li Cr O
2 4 6
direct
0.000 0.000 0.000
0.171 0.828 0.484
0.333 0.670 0.990
0.501 0.499 0.491
0.668 0.329 0.996
0.833 0.148 0.494
0.098 0.436 0.222
0.271 0.282 0.751
0.434 0.070 0.217
0.567 0.931 0.780
0.736 0.728 0.239
0.899 0.551 0.754
```

***

Structure and simulated powder diffraction line list of Li2Fe3SnO8 (a GGA+U-relaxed structure; Cu Kα X-rays).
Kinematic intensities with the Lorentz-polarization factor, no thermal factor.

Top 10 peaks for 2θ = 10–90°, in order of rising 2θ:
| 2θ/deg | d/Å | intensity |
| --- | --- | --- |
| 17.66 | 5.021 | 11 |
| 18.21 | 4.871 | 100 |
| 18.41 | 4.819 | 49 |
| 34.39 | 2.608 | 10 |
| 34.69 | 2.586 | 10 |
| 34.89 | 2.571 | 10 |
| 35.15 | 2.553 | 28 |
| 42.33 | 2.135 | 27 |
| 42.77 | 2.114 | 26 |
| 42.90 | 2.108 | 26 |

```
Li2Fe3SnO8
1.0
5.959 0.000 0.000
2.959 5.308 0.000
0.111 3.303 9.638
Li Fe Sn O
4 6 2 16
direct
0.000 0.000 0.000
0.132 0.726 0.372
0.494 0.998 0.500
0.637 0.729 0.872
0.065 0.363 0.686
0.066 0.363 0.186
0.321 0.364 0.937
0.565 0.364 0.686
0.566 0.363 0.186
0.810 0.362 0.435
0.065 0.863 0.686
0.566 0.863 0.186
0.151 0.138 0.558
0.203 0.136 0.065
0.213 0.589 0.576
0.222 0.561 0.071
0.430 0.162 0.803
0.437 0.591 0.804
0.453 0.132 0.297
0.473 0.583 0.309
0.658 0.144 0.064
0.678 0.595 0.075
0.694 0.137 0.568
0.700 0.565 0.570
0.909 0.165 0.301
0.917 0.137 0.796
0.928 0.589 0.308
0.979 0.589 0.813
```

***

Structure and simulated powder diffraction line list of Mn4NO8 (a GGA+U-relaxed structure; Cu Kα X-rays).
Kinematic intensities with the Lorentz-polarization factor, no thermal factor.

Top 10 peaks for 2θ = 10–90°, in order of rising 2θ:
| 2θ/deg | d/Å | intensity |
| --- | --- | --- |
| 12.57 | 7.042 | 100 |
| 17.81 | 4.980 | 92 |
| 28.34 | 3.149 | 91 |
| 36.07 | 2.490 | 27 |
| 36.59 | 2.456 | 90 |
| 40.98 | 2.203 | 29 |
| 48.77 | 1.867 | 50 |
| 55.35 | 1.660 | 26 |
| 58.98 | 1.566 | 54 |
| 68.19 | 1.375 | 37 |

```
Mn4NO8
1.0
-4.980 4.980 1.472
4.980 -4.980 1.472
4.980 4.980 -1.472
Mn N O
4 1 8
direct
0.151 0.666 0.817
0.334 0.151 0.485
0.666 0.849 0.515
0.849 0.334 0.183
0.000 0.000 0.000
0.043 0.336 0.379
0.296 0.344 0.640
0.336 0.957 0.293
0.344 0.704 0.048
0.656 0.296 0.952
0.664 0.043 0.707
0.704 0.656 0.360
0.957 0.664 0.621
```